Calculated powder diffraction line list
Compound: Li2H2Pt
Radiation: CuKα
Structure: DFT lattice parameters and positions (GGA-PBE)
Peak positions follow from Bragg's law for the DFT cell and can differ from measured ones.

```
10
Lattice="3.0183 0.0000 0.0000 0.0000 3.3273 0.0000 0.0000 0.0000 10.0934" Properties=species:S:1:pos:R:3 pbc="T T T"
Li 0.0000 0.0000 1.4063
Li 0.0000 0.0000 8.6871
Li 1.5092 1.6637 3.6404
Li 1.5092 1.6637 6.4530
H 0.0000 0.0000 3.3779
H 0.0000 0.0000 6.7155
H 1.5092 1.6637 1.6688
H 1.5092 1.6637 8.4245
Pt 0.0000 0.0000 5.0467
Pt 1.5092 1.6637 0.0000
```

Most intense lines, 2θ = 10–90°, by angle:
2θ 17.57, 5.047 Å, intensity 100; 2θ 28.24, 3.160 Å, intensity 64; 2θ 30.92, 2.892 Å, intensity 51; 2θ 35.58, 2.523 Å, intensity 16; 2θ 38.04, 2.366 Å, intensity 33; 2θ 40.14, 2.247 Å, intensity 28; 2θ 40.34, 2.236 Å, intensity 30; 2θ 44.32, 2.044 Å, intensity 39; 2θ 54.87, 1.673 Å, intensity 19; 2θ 64.63, 1.442 Å, intensity 13

Calculated powder diffraction line list
Compound: Li2H2Pt
Radiation: CuKα
Structure: DFT lattice parameters and positions (GGA-PBE)
Peak positions follow from Bragg's law for the DFT cell and can differ from measured ones.

```
10
Lattice="3.1295 0.0000 0.0000 0.0000 3.1963 0.0000 0.0000 0.0000 10.1220" Properties=species:S:1:pos:R:3 pbc="T T T"
Li 0.0000 0.0000 1.3993
Li 0.0000 0.0000 8.7227
Li 1.5648 1.5982 3.6617
Li 1.5648 1.5982 6.4603
H 0.0000 0.0000 3.3941
H 0.0000 0.0000 6.7279
H 1.5648 1.5982 1.6669
H 1.5648 1.5982 8.4551
Pt 0.0000 0.0000 5.0610
Pt 1.5648 1.5982 0.0000
```

Most intense lines, 2θ = 10–90°, by angle:
2θ 17.52, 5.061 Å, intensity 100; 2θ 29.30, 3.048 Å, intensity 58; 2θ 29.88, 2.990 Å, intensity 55; 2θ 35.47, 2.530 Å, intensity 16; 2θ 38.81, 2.320 Å, intensity 31; 2θ 39.27, 2.294 Å, intensity 30; 2θ 40.33, 2.236 Å, intensity 30; 2θ 44.28, 2.045 Å, intensity 39; 2θ 54.78, 1.676 Å, intensity 19; 2θ 71.99, 1.312 Å, intensity 15

Calculated powder diffraction line list
Compound: Li3H4Rh
Radiation: CuKα
Structure: DFT lattice parameters and positions (GGA-PBE)
Peak positions follow from Bragg's law for the DFT cell and can differ from measured ones.

```
16
Lattice="1.8868 -4.5079 0.0000 1.8868 4.5079 0.0000 0.0000 0.0000 8.8465" Properties=species:S:1:pos:R:3 pbc="T T T"
Li 1.8868 4.3958 6.6349
Li 1.8868 1.4912 5.0457
Li 1.8868 1.4912 8.2240
Li 1.8868 -1.4912 0.6225
Li 1.8868 -1.4912 3.8008
Li 1.8868 -4.3958 2.2116
H 1.8868 3.0264 1.0011
H 1.8868 3.0264 3.4222
H 1.8868 0.6090 1.0896
H 1.8868 0.6090 3.3336
H 1.8868 -0.6090 5.5129
H 1.8868 -0.6090 7.7569
H 1.8868 -3.0264 5.4243
H 1.8868 -3.0264 7.8454
Rh 1.8868 1.8558 2.2116
Rh 1.8868 -1.8558 6.6349
```

Most intense lines, 2θ = 10–90°, by angle:
2θ 19.69, 4.508 Å, intensity 45; 2θ 20.07, 4.423 Å, intensity 59; 2θ 22.13, 4.016 Å, intensity 24; 2θ 27.54, 3.239 Å, intensity 100; 2θ 28.27, 3.157 Å, intensity 31; 2θ 38.29, 2.351 Å, intensity 16; 2θ 39.67, 2.272 Å, intensity 18; 2θ 40.07, 2.250 Å, intensity 43; 2θ 41.34, 2.184 Å, intensity 12; 2θ 43.60, 2.076 Å, intensity 17

Calculated powder diffraction line list
Compound: Li4H4Rh
Radiation: CuKα
Structure: DFT lattice parameters and positions (GGA-PBE)
Peak positions follow from Bragg's law for the DFT cell and can differ from measured ones.

```
9
Lattice="-3.1461 3.1461 2.0420 3.1461 -3.1461 2.0420 3.1461 3.1461 -2.0420" Properties=species:S:1:pos:R:3 pbc="T T T"
Li 1.7741 0.7110 0.0000
Li 2.4351 -1.3720 2.0420
Li 0.7110 4.5181 0.0000
Li 1.3720 2.4351 2.0420
H 3.5707 1.4770 0.0000
H 1.4770 2.7215 0.0000
H 1.6691 0.4246 2.0420
H -0.4246 1.6691 2.0420
Rh 0.0000 0.0000 2.0420
```

Most intense lines, 2θ = 10–90°, by angle:
2θ 19.96, 4.449 Å, intensity 94; 2θ 26.01, 3.426 Å, intensity 100; 2θ 28.37, 3.146 Å, intensity 35; 2θ 38.87, 2.317 Å, intensity 79; 2θ 45.59, 1.990 Å, intensity 26; 2θ 48.81, 1.866 Å, intensity 19; 2θ 49.09, 1.856 Å, intensity 17; 2θ 57.42, 1.605 Å, intensity 20; 2θ 65.50, 1.425 Å, intensity 17; 2θ 79.74, 1.203 Å, intensity 16

Calculated powder diffraction line list
Compound: Li3H6Rh
Radiation: CuKα
Structure: DFT lattice parameters and positions (GGA-PBE)
Peak positions follow from Bragg's law for the DFT cell and can differ from measured ones.

```
40
Lattice="8.4536 0.0000 0.0000 0.0000 4.7481 0.0000 0.0000 0.0000 8.5471" Properties=species:S:1:pos:R:3 pbc="T T T"
Li 0.3840 1.1870 1.0673
Li 0.8669 3.5611 4.4256
Li 1.8441 1.1870 6.3546
Li 2.3827 3.5611 2.0811
Li 3.3599 1.1870 0.1521
Li 3.8428 3.5611 5.3408
Li 4.6109 1.1870 3.2063
Li 5.0937 3.5611 8.3950
Li 6.0710 1.1870 6.4660
Li 6.6095 3.5611 2.1925
Li 7.5867 1.1870 4.1215
Li 8.0696 3.5611 7.4798
H 0.9209 0.0276 2.7063
H 0.9209 2.3464 2.7063
H 0.9627 1.1870 4.7201
H 1.2941 0.0050 8.2185
H 1.2941 2.3690 8.2185
H 1.3754 3.5611 6.2769
H 2.8514 1.1870 2.0033
H 2.9328 2.3791 3.9450
H 2.9328 4.7431 3.9450
H 3.2641 3.5611 0.4466
H 3.3059 2.4017 6.9798
H 3.3059 4.7205 6.9798
H 5.1478 0.0276 1.5673
H 5.1478 2.3464 1.5673
H 5.1895 1.1870 8.1005
H 5.5209 0.0050 4.6021
H 5.5209 2.3690 4.6021
H 5.6022 3.5611 6.5438
H 7.0782 1.1870 2.2702
H 7.1596 2.3791 0.3286
H 7.1596 4.7431 0.3286
H 7.4909 3.5611 3.8270
H 7.5327 2.4017 5.8409
H 7.5327 4.7205 5.8409
Rh 1.9213 1.1870 3.3545
Rh 2.3055 3.5611 7.6280
Rh 6.1482 1.1870 0.9191
Rh 6.5323 3.5611 5.1926
```

Most intense lines, 2θ = 10–90°, by angle:
2θ 21.02, 4.227 Å, intensity 57; 2θ 21.41, 4.151 Å, intensity 47; 2θ 23.32, 3.814 Å, intensity 89; 2θ 23.88, 3.726 Å, intensity 100; 2θ 30.18, 2.962 Å, intensity 28; 2θ 36.79, 2.443 Å, intensity 27; 2θ 38.29, 2.351 Å, intensity 32; 2θ 38.62, 2.331 Å, intensity 30; 2θ 42.76, 2.115 Å, intensity 34; 2θ 44.98, 2.015 Å, intensity 28

Calculated powder diffraction line list
Compound: Li4H6Ru
Radiation: CuKα
Structure: DFT lattice parameters and positions (GGA-PBE)
Peak positions follow from Bragg's law for the DFT cell and can differ from measured ones.

```
22
Lattice="4.0707 2.3502 3.3175 -4.0707 2.3502 3.3175 0.0000 -4.7005 3.3175" Properties=species:S:1:pos:R:3 pbc="T T T"
Li -2.5029 0.3654 4.1469
Li 0.0000 0.0000 2.4881
Li -1.5679 -1.9849 5.8056
Li 0.9350 -2.3502 4.1469
Li -0.9350 2.3502 5.8056
Li 1.5679 1.9849 4.1469
Li 0.0000 0.0000 7.4644
Li 2.5029 -0.3654 5.8056
H -3.6333 -1.0222 5.6367
H -0.9314 -3.6577 4.3157
H -0.9314 -1.0428 3.9780
H -2.7019 2.6354 4.3158
H -0.4374 1.3280 3.9780
H -1.3688 0.2852 5.9745
H 1.3688 -0.2852 3.9780
H 0.4374 -1.3280 5.9745
H 2.7019 -2.6354 5.6367
H 0.9314 1.0428 5.9745
H 0.9314 3.6577 5.6367
H 3.6333 1.0222 4.3157
Ru 0.0000 0.0000 0.0000
Ru 0.0000 0.0000 4.9763
```

Most intense lines, 2θ = 10–90°, by angle:
2θ 21.85, 4.068 Å, intensity 100; 2θ 31.09, 2.877 Å, intensity 17; 2θ 38.32, 2.349 Å, intensity 46; 2θ 44.55, 2.034 Å, intensity 16; 2θ 50.14, 1.819 Å, intensity 23; 2θ 60.16, 1.538 Å, intensity 17; 2θ 60.25, 1.536 Å, intensity 6; 2θ 69.29, 1.356 Å, intensity 11; 2θ 73.63, 1.286 Å, intensity 7; 2θ 86.17, 1.129 Å, intensity 11

Calculated powder diffraction line list
Compound: SrLiH3
Radiation: CuKα
Structure: DFT lattice parameters and positions (GGA-PBE)
Peak positions follow from Bragg's law for the DFT cell and can differ from measured ones.

```
5
Lattice="4.6308 0.0000 0.0000 0.0000 4.6308 0.0000 0.0000 0.0000 4.6308" Properties=species:S:1:pos:R:3 pbc="T T T"
Sr 0.0000 0.0000 0.0000
Li 2.3154 2.3154 2.3154
H 0.0000 0.0000 2.3154
H 0.0000 2.3154 0.0000
H 2.3154 0.0000 0.0000
```

Most intense lines, 2θ = 10–90°, by angle:
2θ 19.17, 4.631 Å, intensity 100; 2θ 27.23, 3.274 Å, intensity 100; 2θ 33.52, 2.674 Å, intensity 28; 2θ 38.90, 2.315 Å, intensity 22; 2θ 43.71, 2.071 Å, intensity 46; 2θ 48.13, 1.891 Å, intensity 42; 2θ 56.18, 1.637 Å, intensity 14; 2θ 59.92, 1.544 Å, intensity 22; 2θ 63.53, 1.464 Å, intensity 18; 2θ 77.06, 1.238 Å, intensity 21

Calculated powder diffraction line list
Compound: LuH3
Radiation: CuKα
Structure: DFT lattice parameters and positions (GGA-PBE)
Peak positions follow from Bragg's law for the DFT cell and can differ from measured ones.

```
8
Lattice="3.3482 0.0000 0.0000 0.0000 3.3482 0.0000 0.0000 0.0000 5.5644" Properties=species:S:1:pos:R:3 pbc="T T T"
Lu 0.0000 0.0000 0.0000
Lu 1.6741 1.6741 2.7822
H 0.0000 0.0000 2.7822
H 0.0000 1.6741 1.3911
H 0.0000 1.6741 4.1733
H 1.6741 0.0000 1.3911
H 1.6741 0.0000 4.1733
H 1.6741 1.6741 0.0000
```

Most intense lines, 2θ = 10–90°, by angle:
2θ 31.18, 2.869 Å, intensity 100; 2θ 32.17, 2.782 Å, intensity 23; 2θ 38.01, 2.368 Å, intensity 30; 2θ 50.63, 1.803 Å, intensity 28; 2θ 54.84, 1.674 Å, intensity 11; 2θ 56.74, 1.622 Å, intensity 19; 2θ 64.44, 1.446 Å, intensity 26; 2θ 65.02, 1.434 Å, intensity 13; 2θ 80.00, 1.199 Å, intensity 7; 2θ 82.86, 1.165 Å, intensity 13

Calculated powder diffraction line list
Compound: LuH3
Radiation: CuKα
Structure: DFT lattice parameters and positions (GGA-PBE)
Peak positions follow from Bragg's law for the DFT cell and can differ from measured ones.

```
24
Lattice="6.1146 0.0000 0.0000 -3.0573 5.2954 0.0000 0.0000 0.0000 6.3894" Properties=species:S:1:pos:R:3 pbc="T T T"
Lu -1.0295 1.7831 1.5973
Lu -2.0278 3.5123 4.7920
Lu 2.0589 0.0000 1.5973
Lu 1.0295 1.7831 4.7920
Lu 4.0557 0.0000 4.7920
Lu 2.0278 3.5123 1.5973
H 0.0000 0.0000 1.5973
H 0.0000 0.0000 4.7920
H -0.8948 1.8449 5.8024
H -1.9070 3.5980 2.6077
H 0.8948 1.8449 2.6077
H -1.0121 5.1478 5.8024
H 0.0000 3.5303 1.1507
H 0.0000 3.5303 4.3454
H 2.0451 0.1475 3.7816
H 1.1503 1.6974 0.5869
H 1.9070 3.5980 5.8024
H 1.0121 5.1478 2.6077
H 3.0573 1.7651 2.0440
H 3.0573 1.7651 5.2387
H 4.0694 0.1475 0.5869
H 2.1625 3.4505 3.7816
H 4.9642 1.6974 3.7816
H 3.9521 3.4505 0.5869
```

Most intense lines, 2θ = 10–90°, by angle:
2θ 27.93, 3.195 Å, intensity 33; 2θ 29.21, 3.057 Å, intensity 22; 2θ 32.47, 2.758 Å, intensity 100; 2θ 40.85, 2.209 Å, intensity 18; 2θ 51.79, 1.765 Å, intensity 19; 2θ 52.35, 1.748 Å, intensity 27; 2θ 59.87, 1.545 Å, intensity 24; 2θ 62.47, 1.487 Å, intensity 16; 2θ 81.22, 1.184 Å, intensity 10; 2θ 85.37, 1.137 Å, intensity 13

Calculated powder diffraction line list
Compound: LuH3O3
Radiation: CuKα
Structure: DFT lattice parameters and positions (GGA-PBE)
Peak positions follow from Bragg's law for the DFT cell and can differ from measured ones.

```
14
Lattice="6.2256 0.0000 0.0000 -3.1128 5.3916 0.0000 0.0000 0.0000 3.4634" Properties=species:S:1:pos:R:3 pbc="T T T"
Lu 0.0000 3.5944 0.8659
Lu 3.1128 1.7972 2.5976
H -1.8199 4.6431 2.5976
H 0.0018 1.4939 2.5976
H 1.2947 0.7454 0.8659
H 1.8182 4.6461 2.5976
H 3.1111 3.8976 0.8659
H 4.9327 0.7485 0.8659
O -0.7133 2.1510 2.5976
O -0.8934 4.9338 2.5976
O 1.5062 1.6932 0.8659
O 1.6066 3.6984 2.5976
O 4.0062 0.4578 0.8659
O 3.8261 3.2406 0.8659
```

Most intense lines, 2θ = 10–90°, by angle:
2θ 16.44, 5.392 Å, intensity 100; 2θ 28.68, 3.113 Å, intensity 75; 2θ 30.68, 2.914 Å, intensity 99; 2θ 33.23, 2.696 Å, intensity 17; 2θ 42.49, 2.127 Å, intensity 65; 2θ 50.80, 1.797 Å, intensity 24; 2θ 52.07, 1.756 Å, intensity 63; 2θ 61.25, 1.513 Å, intensity 19; 2θ 68.33, 1.373 Å, intensity 21; 2θ 82.88, 1.165 Å, intensity 18

Calculated powder diffraction line list
Compound: LuH3O3
Radiation: CuKα
Structure: DFT lattice parameters and positions (GGA-PBE)
Peak positions follow from Bragg's law for the DFT cell and can differ from measured ones.

```
28
Lattice="5.2968 0.0000 0.0000 0.0000 10.1112 0.0000 -0.6109 0.0000 6.1370" Properties=species:S:1:pos:R:3 pbc="T T T"
Lu -0.2330 1.7216 2.8364
Lu -0.5384 3.3340 5.9049
Lu 5.2244 6.7772 0.2321
Lu 4.9189 8.3896 3.3006
H 0.7802 0.2636 4.9411
H 1.0857 4.7920 1.8726
H 1.1999 6.1936 4.4603
H 1.5053 8.9732 1.3917
H 2.0541 1.9555 1.1649
H 1.7487 3.1001 4.2334
H 2.9373 7.0111 1.9036
H 2.6318 8.1557 4.9721
H 3.1806 1.1380 4.7453
H 3.4861 3.9176 1.6768
H 3.6003 5.3192 4.2644
H 3.9057 9.8476 1.1959
O 0.7086 0.0632 3.9909
O 1.0140 4.9925 0.9224
O 0.7197 7.0197 4.6371
O 1.0251 8.1471 1.5686
O 1.0897 1.8311 1.0565
O 0.7843 3.2245 4.1250
O 3.9017 6.8867 2.0120
O 3.5962 8.2801 5.0805
O 3.6608 1.9641 4.5685
O 3.9663 3.0915 1.5000
O 3.6719 5.1188 5.2146
O 3.9773 10.0481 2.1461
```

Most intense lines, 2θ = 10–90°, by angle:
2θ 16.85, 5.263 Å, intensity 100; 2θ 17.54, 5.056 Å, intensity 19; 2θ 22.87, 3.889 Å, intensity 16; 2θ 24.40, 3.649 Å, intensity 15; 2θ 24.94, 3.570 Å, intensity 11; 2θ 30.25, 2.954 Å, intensity 23; 2θ 32.27, 2.774 Å, intensity 13; 2θ 34.06, 2.633 Å, intensity 16; 2θ 35.54, 2.526 Å, intensity 31; 2θ 47.31, 1.921 Å, intensity 15